Starting from a structure optimized by DFT (PBE), the X-ray diffraction stick pattern of Pr2Zr3Sn4 was calculated for Cu Kα.
Kinematic intensities with the Lorentz-polarization factor, no thermal factor.

Structure:
```
data_Pr2Zr3Sn4
_cell_length_a 7.9772
_cell_length_b 7.9652
_cell_length_c 7.8281
_cell_angle_alpha 90.00
_cell_angle_beta 109.98
_cell_angle_gamma 90.00
_space_group_name_H-M_alt 'P 1'
_space_group_IT_number 1
_space_group_name_Hall 'P 1'
loop_
_atom_site_label
_atom_site_type_symbol
_atom_site_fract_x
_atom_site_fract_y
_atom_site_fract_z
Pr1 Pr 0.1863 0.1688 0.0594
Pr2 Pr 0.1863 0.3312 0.5594
Pr3 Pr 0.8137 0.6688 0.4406
Pr4 Pr 0.8137 0.8312 0.9406
Zr1 Zr 0.2547 0.6697 0.2481
Zr2 Zr 0.2547 0.8303 0.7481
Zr3 Zr 0.5000 0.0000 0.5000
Zr4 Zr 0.5000 0.5000 0.0000
Zr5 Zr 0.7453 0.1697 0.2519
Zr6 Zr 0.7453 0.3303 0.7519
Sn1 Sn 0.0866 0.5409 0.8560
Sn2 Sn 0.0866 0.9591 0.3560
Sn3 Sn 0.4914 0.1357 0.8603
Sn4 Sn 0.4914 0.3643 0.3603
Sn5 Sn 0.5086 0.6357 0.6397
Sn6 Sn 0.5086 0.8643 0.1397
Sn7 Sn 0.9134 0.0409 0.6440
Sn8 Sn 0.9134 0.4591 0.1440
```

Peak list (10 most intense, 15 to 90 degrees two-theta, most intense first)
2θ 35.93, d = 2.499 Å, I 100, hkl 3 0 -2; 2θ 32.01, d = 2.796 Å, I 82, hkl 2 2 -1; 2θ 32.56, d = 2.750 Å, I 73, hkl 1 1 2; 2θ 29.83, d = 2.995 Å, I 71, hkl 2 1 -2; 2θ 36.23, d = 2.479 Å, I 65, hkl 1 1 -3; 2θ 32.29, d = 2.773 Å, I 53, hkl 1 2 -2; 2θ 32.81, d = 2.730 Å, I 23, hkl 2 2 0; 2θ 48.46, d = 1.878 Å, I 19, hkl 3 3 -1; 2θ 50.01, d = 1.824 Å, I 15, hkl 1 4 1; 2θ 54.88, d = 1.673 Å, I 14, hkl 3 3 1